(1)
SrMg6Zn: calculated powder XRD pattern (copper Kα), based on a DFT-relaxed cell (PBE, the Materials Project).
Neutral-atom scattering factors, no anomalous dispersion.

Largest 6 diffraction maxima, low angle first, 2θ from 10° to 90°:
2θ (°)  Rel. int.  hkl
15.1  33  0 1 1
23.1  26  1 0 2
30.6  25  0 2 2
35.0  23  2 0 0
35.3  100  1 0 4
66.3  19  2 4 0

Atomic structure:
```
data_SrMg6Zn
_chemical_formula_sum 'Sr2 Mg12 Zn2'
_cell_length_a 5.1234
_cell_length_b 6.7602
_cell_length_c 11.6840
_cell_angle_alpha 90.00
_cell_angle_beta 90.00
_cell_angle_gamma 90.00
_symmetry_space_group_name_H-M 'A m m 2'
_symmetry_Int_Tables_number 38
loop_
_symmetry_equiv_pos_as_xyz
'x,y,z'
'-x,-y,z'
'-x,y,z'
'x,-y,z'
'x,y+1/2,z+1/2'
'-x,-y+1/2,z+1/2'
'-x,y+1/2,z+1/2'
'x,-y+1/2,z+1/2'
loop_
_atom_site_label
_atom_site_type_symbol
_atom_site_fract_x
_atom_site_fract_y
_atom_site_fract_z
Sr1 Sr 0.0000 0.0000 0.0000
Mg1 Mg 0.0000 0.0000 0.4881
Mg2 Mg 0.0000 0.2399 0.2464
Mg3 Mg 0.5000 0.0000 0.6564
Mg4 Mg 0.5000 0.2303 0.3976
Zn1 Zn 0.5000 0.0000 0.1720
```

***

(2)
RuC2N2: calculated powder XRD pattern (copper Kα), based on a DFT-relaxed cell (PBE, the Materials Project).
Neutral-atom scattering factors, no anomalous dispersion.

Largest 6 diffraction maxima, low angle first, 2θ from 10° to 90°:
2θ (°)  Rel. int.  hkl
18.7  100  1 1 0
26.5  16  2 0 0
33.6  31  1 0 1
37.9  20  2 2 0
43.3  38  2 1 1
58.9  14  3 2 1

Atomic structure:
```
data_RuC2N2
_chemical_formula_sum 'Ru2 C4 N4'
_cell_length_a 6.7192
_cell_length_b 6.7192
_cell_length_c 2.9033
_cell_angle_alpha 90.00
_cell_angle_beta 90.00
_cell_angle_gamma 90.00
_symmetry_space_group_name_H-M 'P 42/m n m'
_symmetry_Int_Tables_number 136
_symmetry_space_group_name_Hall '-P 4n 2n'
loop_
_atom_site_label
_atom_site_type_symbol
_atom_site_fract_x
_atom_site_fract_y
_atom_site_fract_z
Ru1 Ru 0.0000 0.0000 0.0000
C1 C 0.2096 0.2096 0.0000
N1 N 0.1646 0.8354 0.5000
```

***

(3)
Ta22O21: calculated powder XRD pattern (copper Kα), based on a DFT-relaxed cell (PBE, the Materials Project).
Neutral-atom scattering factors, no anomalous dispersion.

Largest 6 diffraction maxima, low angle first, 2θ from 10° to 90°:
2θ (°)  Rel. int.  hkl
23.1  100  0 1 0
23.1  31  0 1 -1
30.8  35  0 0 20
32.3  45  1 0 -7
37.0  62  1 0 13
47.2  31  0 2 0

Atomic structure:
```
data_Ta22O21
_chemical_formula_sum 'Ta22 O21'
_cell_length_a 2.9278
_cell_length_b 3.8551
_cell_length_c 58.0087
_cell_angle_alpha 90.65
_cell_angle_beta 90.90
_cell_angle_gamma 90.43
_symmetry_space_group_name_H-M 'P 1'
_symmetry_Int_Tables_number 1
loop_
_symmetry_equiv_pos_as_xyz
'x,y,z'
loop_
_atom_site_label
_atom_site_type_symbol
_atom_site_fract_x
_atom_site_fract_y
_atom_site_fract_z
Ta1 Ta 0.0000 0.0000 0.0000
Ta2 Ta 0.0021 0.1718 0.2235
Ta3 Ta 0.0313 0.5074 0.3031
Ta4 Ta 0.0553 0.0008 0.6962
Ta5 Ta 0.0877 0.6408 0.3844
Ta6 Ta 0.1036 0.9964 0.8380
Ta7 Ta 0.1581 0.0791 0.1425
Ta8 Ta 0.2533 0.1809 0.4741
Ta9 Ta 0.3732 0.1208 0.6025
Ta10 Ta 0.4154 0.9959 0.7431
Ta11 Ta 0.4521 0.9972 0.8859
Ta12 Ta 0.4597 0.9952 0.0485
Ta13 Ta 0.4763 0.8632 0.1846
Ta14 Ta 0.5150 0.9054 0.2627
Ta15 Ta 0.5594 0.9085 0.3433
Ta16 Ta 0.6204 0.1344 0.4139
Ta17 Ta 0.7305 0.9956 0.7915
Ta18 Ta 0.7399 0.0116 0.6476
Ta19 Ta 0.7822 0.7125 0.5014
Ta20 Ta 0.8167 0.0129 0.0960
Ta21 Ta 0.8631 0.6799 0.5669
Ta22 Ta 0.9355 0.9964 0.9343
O1 O 0.0023 0.6828 0.2395
O2 O 0.0067 0.5011 0.0045
O3 O 0.0522 0.5009 0.6941
O4 O 0.0964 0.4964 0.8390
O5 O 0.1431 0.1506 0.4401
O6 O 0.2049 0.5683 0.1516
O7 O 0.3707 0.6125 0.5959
O8 O 0.4122 0.4959 0.7434
O9 O 0.4630 0.4972 0.8860
O10 O 0.4653 0.4952 0.0515
O11 O 0.4936 0.3775 0.1983
O12 O 0.5199 0.3992 0.2772
O13 O 0.5378 0.8977 0.3040
O14 O 0.5411 0.4088 0.3302
O15 O 0.5998 0.0743 0.3775
O16 O 0.7206 0.5140 0.6437
O17 O 0.7246 0.4956 0.7914
O18 O 0.8409 0.5172 0.1006
O19 O 0.8517 0.7339 0.5349
O20 O 0.9320 0.4953 0.9304
O21 O 0.9679 0.9982 0.9671
```